1.
Cu4Si4Pb4C4ClO28: calculated powder XRD pattern (Cu Ka), based on DFT lattice parameters and positions (PBE).
Intensities are scaled so that the largest is 100.

Atomic structure:
Lattice parameters (Å, degrees): 14.1384 14.1384 6.1725 90.00 90.00 90.00
Space group I4/m (No. 87)
Symmetry-distinct sites (fractional):
1 Cu 0.2500 0.2500 0.2500 [8 per cell]
2 Si 0.1112 0.8835 0.0000 [8 per cell]
3 Pb 0.0323 0.7676 0.5000 [8 per cell]
4 C 0.0638 0.6446 0.0000 [8 per cell]
5 Cl 0.0000 0.0000 0.5000 [2 per cell]
6 O 0.0034 0.1342 0.0000 [8 per cell]
7 O 0.0190 0.6485 0.1796 [16 per cell]
8 O 0.1378 0.3449 0.5000 [8 per cell]
9 O 0.1504 0.8365 0.2266 [16 per cell]
10 O 0.1952 0.7055 0.5000 [8 per cell]

Main lines, in order of rising 2θ (15° ≤ 2θ ≤ 90°):
15.67 deg, I 46, (1 0 1); 17.74 deg, I 30, (2 2 0); 19.86 deg, I 42, (1 3 0); 20.10 deg, I 60, (1 2 1); 25.20 deg, I 43, (4 0 0); 26.94 deg, I 73, (2 3 1); 29.81 deg, I 100, (4 1 1); 34.14 deg, I 72, (2 2 2); 34.90 deg, I 31, (5 0 1); 35.93 deg, I 28, (4 4 0); 43.53 deg, I 26, (4 5 1); 45.48 deg, I 28, (6 3 1)

---

2.
LiNbP4O12: calculated powder XRD pattern (Cu Ka), based on DFT lattice parameters and positions (PBE).
Intensities are scaled so that the largest is 100.

Atomic structure:
Lattice parameters (Å, degrees): 7.1810 8.3213 7.7090 90.00 93.91 90.00
Space group P2_1 (No. 4)
Symmetry-distinct sites (fractional):
1 Li 0.1592 0.0000 0.3561 [2 per cell]
2 Nb 0.2492 0.3928 0.7768 [2 per cell]
3 P 0.0796 0.0036 0.9005 [2 per cell]
4 P 0.1221 0.6253 0.4099 [2 per cell]
5 P 0.4145 0.7855 0.8953 [2 per cell]
6 P 0.4934 0.4887 0.4168 [2 per cell]
7 O 0.0410 0.7854 0.3537 [2 per cell]
8 O 0.0430 0.4795 0.9524 [2 per cell]
9 O 0.0430 0.4856 0.2824 [2 per cell]
10 O 0.0949 0.5730 0.5948 [2 per cell]
11 O 0.1940 0.1541 0.9040 [2 per cell]
12 O 0.2011 0.8436 0.8836 [2 per cell]
13 O 0.3162 0.0589 0.5510 [2 per cell]
14 O 0.3386 0.6293 0.3759 [2 per cell]
15 O 0.4123 0.6176 0.8233 [2 per cell]
16 O 0.4212 0.3801 0.5515 [2 per cell]
17 O 0.4764 0.4015 0.2291 [2 per cell]
18 O 0.4948 0.8162 0.0773 [2 per cell]

Main lines, in order of rising 2θ (15° ≤ 2θ ≤ 90°):
15.69 deg, I 30, (0 1 1); 16.32 deg, I 94, (1 0 -1); 17.48 deg, I 57, (1 0 1); 19.52 deg, I 19, (1 1 -1); 21.36 deg, I 29, (0 2 0); 24.32 deg, I 21, (0 2 1); 25.53 deg, I 36, (1 0 -2); 27.02 deg, I 46, (1 0 2); 27.73 deg, I 100, (1 2 1); 28.84 deg, I 36, (2 1 -1); 30.21 deg, I 34, (2 1 1); 43.37 deg, I 23, (2 3 1)

---

3.
WBr5: calculated powder XRD pattern (Cu Ka), based on DFT lattice parameters and positions (PBE).
Intensities are scaled so that the largest is 100.

Atomic structure:
Lattice parameters (Å, degrees): 20.7482 19.2732 6.4692 90.00 90.26 90.00
Space group C2/m (No. 12)
Symmetry-distinct sites (fractional):
1 W 0.0000 0.1065 0.0000 [4 per cell]
2 W 0.1667 0.3932 0.4809 [8 per cell]
3 Br 0.0478 0.0000 0.2201 [4 per cell]
4 Br 0.0509 0.1891 0.2341 [8 per cell]
5 Br 0.0701 0.4032 0.2623 [8 per cell]
6 Br 0.0964 0.0957 0.7842 [8 per cell]
7 Br 0.1154 0.3117 0.7154 [8 per cell]
8 Br 0.1193 0.5000 0.6979 [4 per cell]
9 Br 0.2142 0.5000 0.2636 [4 per cell]
10 Br 0.2182 0.3108 0.2500 [8 per cell]
11 Br 0.2368 0.0963 0.2995 [8 per cell]

Main lines, in order of rising 2θ (15° ≤ 2θ ≤ 90°):
15.07 deg, I 63, (1 1 1); 16.14 deg, I 40, (2 0 -1); 18.41 deg, I 26, (0 4 0); 24.58 deg, I 18, (2 4 -1); 29.23 deg, I 15, (6 0 -1); 29.34 deg, I 28, (6 0 1); 29.91 deg, I 100, (3 5 -1); 38.19 deg, I 18, (6 0 2); 38.55 deg, I 30, (3 5 -2); 38.64 deg, I 19, (3 5 2); 45.87 deg, I 36, (9 5 0); 47.15 deg, I 18, (0 10 0)

---

4.
Ho6Fe23: calculated powder XRD pattern (Cu Ka), based on DFT lattice parameters and positions (PBE).
Intensities are scaled so that the largest is 100.

Atomic structure:
Lattice parameters (Å, degrees): 11.9828 11.9828 11.9828 90.00 90.00 90.00
Space group Fm-3m (No. 225)
Symmetry-distinct sites (fractional):
1 Ho 0.0000 0.0000 0.2097 [24 per cell]
2 Fe 0.0000 0.0000 0.5000 [4 per cell]
3 Fe 0.0000 0.2500 0.2500 [24 per cell]
4 Fe 0.1216 0.1216 0.3784 [32 per cell]
5 Fe 0.1755 0.1755 0.1755 [32 per cell]

Main lines, in order of rising 2θ (15° ≤ 2θ ≤ 90°):
25.75 deg, I 29, (2 2 2); 29.82 deg, I 20, (4 0 0); 32.57 deg, I 23, (3 3 1); 36.74 deg, I 31, (4 2 2); 39.06 deg, I 84, (3 3 3); 42.68 deg, I 100, (4 4 0); 45.41 deg, I 15, (6 0 0); 54.70 deg, I 16, (5 5 1); 63.55 deg, I 19, (7 3 3); 66.17 deg, I 22, (8 2 2); 79.60 deg, I 15, (9 3 3); 83.44 deg, I 18, (7 7 3)

---

5.
SmH10S3N3O11: calculated powder XRD pattern (Cu Ka), based on DFT lattice parameters and positions (PBE).
Intensities are scaled so that the largest is 100.

Atomic structure:
Lattice parameters (Å, degrees): 7.9246 9.1762 9.2495 117.48 95.12 92.41
Space group P-1 (No. 2)
Symmetry-distinct sites (fractional):
1 Sm 0.2177 0.3820 0.2200 [2 per cell]
2 H 0.1284 0.9647 0.3269 [2 per cell]
3 H 0.1414 0.2464 0.6257 [2 per cell]
4 H 0.2010 0.4489 0.7454 [2 per cell]
5 H 0.2709 0.0295 0.1448 [2 per cell]
6 H 0.2937 0.0359 0.9750 [2 per cell]
7 H 0.3205 0.3275 0.8850 [2 per cell]
8 H 0.3233 0.8966 0.3235 [2 per cell]
9 H 0.3672 0.7885 0.7857 [2 per cell]
10 H 0.3999 0.8821 0.6721 [2 per cell]
11 H 0.4949 0.3393 0.9956 [2 per cell]
12 S 0.1347 0.7621 0.6191 [2 per cell]
13 S 0.1451 0.7212 0.1045 [2 per cell]
14 S 0.3991 0.3223 0.5843 [2 per cell]
15 N 0.2207 0.9079 0.2534 [2 per cell]
16 N 0.2416 0.3328 0.6963 [2 per cell]
17 N 0.3150 0.8619 0.7405 [2 per cell]
18 O 0.0209 0.2521 0.9591 [2 per cell]
19 O 0.0349 0.7298 0.7303 [2 per cell]
20 O 0.0635 0.8743 0.5642 [2 per cell]
21 O 0.1254 0.6070 0.1755 [2 per cell]
22 O 0.1731 0.6053 0.4835 [2 per cell]
23 O 0.2706 0.6737 0.9880 [2 per cell]
24 O 0.2978 0.1028 0.0951 [2 per cell]
25 O 0.3261 0.2980 0.4219 [2 per cell]
26 O 0.3702 0.3357 0.9918 [2 per cell]
27 O 0.4895 0.1829 0.5706 [2 per cell]
28 O 0.4973 0.4849 0.6817 [2 per cell]

Main lines, in order of rising 2θ (15° ≤ 2θ ≤ 90°):
16.15 deg, I 44, (1 -1 1); 16.61 deg, I 35, (1 0 1); 20.61 deg, I 55, (-1 1 1); 22.62 deg, I 67, (2 0 0); 23.74 deg, I 68, (1 -2 0); 25.04 deg, I 100, (1 2 -2); 25.60 deg, I 92, (1 -2 2); 25.85 deg, I 44, (1 0 2); 26.12 deg, I 48, (2 1 0); 29.59 deg, I 59, (2 0 -2); 30.48 deg, I 43, (1 1 -3); 32.36 deg, I 37, (1 1 2)

---

6.
NaMgSb: calculated powder XRD pattern (Cu Ka), based on DFT lattice parameters and positions (PBE).
Intensities are scaled so that the largest is 100.

Atomic structure:
Lattice parameters (Å, degrees): 4.6588 4.6588 7.7191 90.00 90.00 90.00
Space group P4/nmm (No. 129, origin choice 2)
Symmetry-distinct sites (fractional):
1 Na 0.2500 0.2500 0.1424 [2 per cell]
2 Mg 0.2500 0.7500 0.5000 [2 per cell]
3 Sb 0.2500 0.2500 0.7277 [2 per cell]

Main lines, in order of rising 2θ (15° ≤ 2θ ≤ 90°):
22.29 deg, I 100, (1 0 1); 23.04 deg, I 21, (0 0 2); 27.07 deg, I 44, (1 1 0); 30.07 deg, I 15, (1 0 2); 35.84 deg, I 63, (1 1 2); 38.65 deg, I 35, (2 0 0); 40.03 deg, I 31, (1 0 3); 45.07 deg, I 31, (2 1 1); 45.48 deg, I 14, (2 0 2); 55.81 deg, I 11, (2 2 0); 56.86 deg, I 22, (2 1 3); 68.13 deg, I 18, (3 1 2)